Theoretical X-ray powder pattern
Compound: Cd5Ag2Au4
Radiation: Cu Kα
Structure: a structure optimized by DFT (GGA-PBE)
Kinematic intensities with the Lorentz-polarization factor, no thermal factor.

Largest 10 diffraction maxima, by angle, 15 to 90 degrees two-theta:
19.22°, intensity 27.1
36.12°, intensity 56.4
36.91°, intensity 100.0
37.19°, intensity 40.0
37.60°, intensity 62.9
38.80°, intensity 17.1
39.00°, intensity 62.6
41.23°, intensity 46.4
54.20°, intensity 35.2
69.28°, intensity 17.4

Cell and atoms:
a b c (Å): 5.6738 16.6009 4.6190
angles (deg): 90.00 90.00 90.00
Atoms (fractional coordinates):
1 Cd 0.0000 0.0000 0.0000
2 Cd 0.0427 0.3975 0.0000
3 Cd 0.0686 0.1997 0.0000
4 Cd 0.4314 0.6997 0.0000
5 Cd 0.4573 0.8975 0.0000
6 Cd 0.5000 0.5000 0.0000
7 Cd 0.5427 0.1025 0.0000
8 Cd 0.5686 0.3003 0.0000
9 Cd 0.9314 0.8003 0.0000
10 Cd 0.9573 0.6025 0.0000
11 Ag 0.1019 0.7074 0.5000
12 Ag 0.3981 0.2074 0.5000
13 Ag 0.6019 0.7926 0.5000
14 Ag 0.8981 0.2926 0.5000
15 Au 0.1445 0.8777 0.5000
16 Au 0.2110 0.5409 0.5000
17 Au 0.2890 0.0409 0.5000
18 Au 0.3555 0.3777 0.5000
19 Au 0.6445 0.6223 0.5000
20 Au 0.7110 0.9591 0.5000
21 Au 0.7890 0.4591 0.5000
22 Au 0.8555 0.1223 0.5000